1.
Starting from DFT lattice parameters and positions (PBE), the powder X-ray diffraction pattern of LiCaTl3Cd was simulated for Cu Ka.
Kinematic intensities with the Lorentz-polarization factor, no thermal factor.

Structure:
```
data_LiCaTl3Cd
_chemical_formula_sum 'Li2 Ca2 Tl6 Cd2'
_cell_length_a 6.928
_cell_length_b 4.880
_cell_length_c 9.911
_cell_angle_alpha 90.00
_cell_angle_beta 110.30
_cell_angle_gamma 90.00
_symmetry_space_group_name_H-M 'P 1 21/m 1'
_symmetry_Int_Tables_number 11
loop_
_symmetry_equiv_pos_as_xyz
'x,y,z'
'-x,-y,-z'
'-x,y+1/2,-z'
'x,-y+1/2,z'
loop_
_atom_site_label
_atom_site_type_symbol
_atom_site_fract_x
_atom_site_fract_y
_atom_site_fract_z
Li1 Li 0.042 0.250 0.141
Ca1 Ca 0.356 0.750 0.723
Tl1 Tl 0.271 0.250 0.937
Tl2 Tl 0.293 0.750 0.173
Tl3 Tl 0.319 0.250 0.463
Cd1 Cd 0.011 0.750 0.380
```

Peak list (8 most intense, 2θ from 5° to 70°, sorted by position)
| d [Å] | 2θ/deg | I_rel |
| --- | --- | --- |
| 4.321 | 20.6 | 35 |
| 3.364 | 26.5 | 33 |
| 3.248 | 27.5 | 25 |
| 2.722 | 32.9 | 93 |
| 2.701 | 33.2 | 100 |
| 2.478 | 36.3 | 41 |
| 2.440 | 36.8 | 41 |
| 1.739 | 52.6 | 30 |

---

2.
Starting from DFT lattice parameters and positions (PBE), the powder X-ray diffraction pattern of ErZn9Co2 was simulated for Cu Ka.
Kinematic intensities with the Lorentz-polarization factor, no thermal factor.

Structure:
```
data_ErZn9Co2
_chemical_formula_sum 'Er4 Zn36 Co8'
_cell_length_a 10.308
_cell_length_b 10.308
_cell_length_c 6.747
_cell_angle_alpha 90.00
_cell_angle_beta 90.00
_cell_angle_gamma 90.00
_symmetry_space_group_name_H-M 'I 41/a m d'
_symmetry_Int_Tables_number 141
loop_
_symmetry_equiv_pos_as_xyz
'x,y,z'
'-x,-y,-z'
'-y+1/4,x+3/4,z+1/4'
'y+1/4,-x+3/4,-z+1/4'
'-x+1/2,-y,z+1/2'
'x+1/2,y,-z+1/2'
'y+1/4,-x+1/4,z+3/4'
'-y+1/4,x+1/4,-z+3/4'
'x,-y,-z'
'-x,y,z'
'-y+1/4,-x+1/4,-z+3/4'
'y+1/4,x+1/4,z+3/4'
'-x+1/2,y,-z+1/2'
'x+1/2,-y,z+1/2'
'y+1/4,x+3/4,-z+1/4'
'-y+1/4,-x+3/4,z+1/4'
'x+1/2,y+1/2,z+1/2'
'-x+1/2,-y+1/2,-z+1/2'
'-y+3/4,x+1/4,z+3/4'
'y+3/4,-x+1/4,-z+3/4'
'-x,-y+1/2,z'
'x,y+1/2,-z'
'y+3/4,-x+3/4,z+1/4'
'-y+3/4,x+3/4,-z+1/4'
'x+1/2,-y+1/2,-z+1/2'
'-x+1/2,y+1/2,z+1/2'
'-y+3/4,-x+3/4,-z+1/4'
'y+3/4,x+3/4,z+1/4'
'-x,y+1/2,-z'
'x,-y+1/2,z'
'y+3/4,x+1/4,-z+3/4'
'-y+3/4,-x+1/4,z+3/4'
loop_
_atom_site_label
_atom_site_type_symbol
_atom_site_fract_x
_atom_site_fract_y
_atom_site_fract_z
Er1 Er 0.000 0.250 0.375
Zn1 Zn 0.000 0.250 0.875
Zn2 Zn 0.121 0.046 0.686
Co1 Co 0.000 0.000 0.000
```

Peak list (8 most intense, 2θ from 5° to 70°, sorted by position)
| d [Å] | 2θ/deg | I_rel |
| --- | --- | --- |
| 3.062 | 29.2 | 25 |
| 2.632 | 34.1 | 34 |
| 2.344 | 38.4 | 100 |
| 2.305 | 39.1 | 67 |
| 2.197 | 41.1 | 31 |
| 1.972 | 46.0 | 39 |
| 1.903 | 47.8 | 26 |
| 1.566 | 59.0 | 19 |

---

3.
Starting from DFT lattice parameters and positions (PBE), the powder X-ray diffraction pattern of Er6Mg2Cu was simulated for Cu Ka.
Kinematic intensities with the Lorentz-polarization factor, no thermal factor.

Structure:
```
data_Er6Mg2Cu
_chemical_formula_sum 'Er12 Mg4 Cu2'
_cell_length_a 6.599
_cell_length_b 7.210
_cell_length_c 11.117
_cell_angle_alpha 90.00
_cell_angle_beta 108.30
_cell_angle_gamma 90.00
_symmetry_space_group_name_H-M 'P 1 21/c 1'
_symmetry_Int_Tables_number 14
loop_
_symmetry_equiv_pos_as_xyz
'x,y,z'
'-x,-y,-z'
'-x,y+1/2,-z+1/2'
'x,-y+1/2,z+1/2'
loop_
_atom_site_label
_atom_site_type_symbol
_atom_site_fract_x
_atom_site_fract_y
_atom_site_fract_z
Er1 Er 0.094 0.036 0.252
Er2 Er 0.168 0.705 0.035
Er3 Er 0.322 0.159 0.999
Mg1 Mg 0.424 0.085 0.743
Cu1 Cu 0.500 0.000 0.500
```

Peak list (8 most intense, 2θ from 5° to 70°, sorted by position)
| d [Å] | 2θ/deg | I_rel |
| --- | --- | --- |
| 5.277 | 16.8 | 39 |
| 2.977 | 30.0 | 80 |
| 2.897 | 30.9 | 100 |
| 2.875 | 31.1 | 98 |
| 2.639 | 34.0 | 69 |
| 2.626 | 34.1 | 37 |
| 2.543 | 35.3 | 35 |
| 2.246 | 40.2 | 37 |